Starting from a DFT-relaxed cell (GGA-PBE, Alexandria), the powder diffraction line list of CsRb2PSe4 was calculated for Cu Kα X-rays.
Kinematic intensities with the Lorentz-polarization factor, no thermal factor.

Top 10 peaks for 10° ≤ 2θ ≤ 90°, sorted by position:
(hkl)  two_theta  I/Imax
2 0 -2  18.10  19
2 2 -2  24.09  100
4 2 -2  28.93  68
4 0 0  31.84  62
4 0 -4  36.68  27
1 3 2  38.63  18
6 2 -2  40.33  29
4 4 -4  49.35  34
2 6 -2  52.27  22
6 6 -2  62.53  20

Crystal structure
```
data_CsRb2PSe4
_chemical_formula_sum 'Cs4 Rb8 P4 Se16'
_cell_length_a 14.907
_cell_length_b 11.242
_cell_length_c 9.800
_cell_angle_alpha 90.00
_cell_angle_beta 131.06
_cell_angle_gamma 90.00
_space_group_name_H-M_alt 'C 1 2/c 1'
_space_group_IT_number 15
loop_
_space_group_symop_operation_xyz
'x,y,z'
'-x,-y,-z'
'-x,y,-z+1/2'
'x,-y,z+1/2'
'x+1/2,y+1/2,z'
'-x+1/2,-y+1/2,-z'
'-x+1/2,y+1/2,-z+1/2'
'x+1/2,-y+1/2,z+1/2'
loop_
_atom_site_label
_atom_site_type_symbol
_atom_site_fract_x
_atom_site_fract_y
_atom_site_fract_z
_atom_site_occupancy
Cs1 Cs 0.250 0.250 0.000 1
Rb1 Rb 0.000 0.000 0.000 1
Rb2 Rb 0.250 0.250 0.500 1
P1 P 0.000 0.500 0.000 1
Se1 Se 0.000 0.293 0.013 1
Se2 Se 0.208 0.500 0.207 1
```